Structure and simulated PXRD pattern of Cs2Li14Tb3O14 (a crystal structure in OQMD, relaxed with PBE; Cu Ka).
Peak positions follow from Bragg's law for the DFT cell and can differ from measured ones.

Most intense lines, 2θ from 5° to 70°, in order of falling intensity:
- 5.451 Å, 2θ 16.3, rel. 100
- 3.260 Å, 2θ 27.4, rel. 72
- 2.528 Å, 2θ 35.5, rel. 68
- 4.009 Å, 2θ 22.2, rel. 66
- 2.663 Å, 2θ 33.7, rel. 50
- 2.514 Å, 2θ 35.7, rel. 32
- 2.367 Å, 2θ 38.0, rel. 30
- 1.629 Å, 2θ 56.5, rel. 25

Lattice parameters (Å, degrees): 8.5029 8.5029 8.5029 128.18 123.73 80.01
Positions (direct):
Cs (0.0000, 0.2307, 0.2307)
Cs (0.0000, 0.7693, 0.7693)
Li (0.0873, 0.2336, 0.8537)
Li (0.2118, 0.1405, 0.6171)
Li (0.2118, 0.5947, 0.0713)
Li (0.3464, 0.5000, 0.8464)
Li (0.3800, 0.2336, 0.1463)
Li (0.4766, 0.4053, 0.6171)
Li (0.4766, 0.8595, 0.0713)
Li (0.5234, 0.1405, 0.9287)
Li (0.5234, 0.5947, 0.3829)
Li (0.6200, 0.7664, 0.8537)
Li (0.6536, 0.5000, 0.1536)
Li (0.7882, 0.4053, 0.9287)
Li (0.7882, 0.8595, 0.3829)
Li (0.9127, 0.7664, 0.1463)
Tb (0.2305, 0.7305, 0.5000)
Tb (0.5000, 0.0000, 0.5000)
Tb (0.7695, 0.2695, 0.5000)
O (0.0953, 0.3717, 0.7236)
O (0.1814, 0.8693, 0.3121)
O (0.2530, 0.0506, 0.7977)
O (0.2530, 0.4553, 0.2023)
O (0.3519, 0.6283, 0.7236)
O (0.4428, 0.1307, 0.3121)
O (0.5000, 0.2979, 0.7979)
O (0.5000, 0.7021, 0.2021)
O (0.5572, 0.8693, 0.6879)
O (0.6481, 0.3717, 0.2764)
O (0.7470, 0.5447, 0.7977)
O (0.7470, 0.9494, 0.2023)
O (0.8186, 0.1307, 0.6879)
O (0.9047, 0.6283, 0.2764)

Structure and simulated PXRD pattern of Cs2LiOsS4 (a crystal structure in OQMD, relaxed with PBE; Cu Ka).
Peak positions follow from Bragg's law for the DFT cell and can differ from measured ones.

Most intense lines, 2θ from 5° to 70°, in order of falling intensity:
- 3.595 Å, 2θ 24.8, rel. 100
- 3.664 Å, 2θ 24.3, rel. 86
- 5.501 Å, 2θ 16.1, rel. 84
- 3.231 Å, 2θ 27.6, rel. 78
- 3.424 Å, 2θ 26.0, rel. 62
- 2.133 Å, 2θ 42.4, rel. 43
- 3.151 Å, 2θ 28.3, rel. 42
- 2.789 Å, 2θ 32.1, rel. 42

Lattice parameters (Å, degrees): 6.9268 7.2381 9.7687 96.43 92.63 91.24
Positions (direct):
Cs (0.1245, 0.2067, 0.1623)
Cs (0.2945, 0.7540, 0.5071)
Cs (0.7055, 0.2460, 0.4929)
Cs (0.8755, 0.7933, 0.8377)
Li (0.4022, 0.6707, 0.0760)
Li (0.5978, 0.3293, 0.9240)
Os (0.2175, 0.2904, 0.7514)
Os (0.7825, 0.7096, 0.2486)
S (0.0757, 0.7048, 0.1694)
S (0.2081, 0.2535, 0.5244)
S (0.3775, 0.0659, 0.8395)
S (0.3806, 0.5552, 0.8255)
S (0.6194, 0.4448, 0.1745)
S (0.6225, 0.9341, 0.1605)
S (0.7919, 0.7465, 0.4756)
S (0.9243, 0.2952, 0.8306)

Structure and simulated PXRD pattern of Cs2Li2ZrS4 (a crystal structure in OQMD, relaxed with PBE; Cu Ka).
Peak positions follow from Bragg's law for the DFT cell and can differ from measured ones.

Most intense lines, 2θ from 5° to 70°, in order of falling intensity:
- 3.168 Å, 2θ 28.2, rel. 100
- 4.148 Å, 2θ 21.4, rel. 49
- 2.811 Å, 2θ 31.8, rel. 44
- 1.848 Å, 2θ 49.3, rel. 29
- 2.174 Å, 2θ 41.5, rel. 25
- 3.074 Å, 2θ 29.0, rel. 24
- 1.794 Å, 2θ 50.9, rel. 17
- 2.339 Å, 2θ 38.5, rel. 17

Lattice parameters (Å, degrees): 7.5913 7.5913 6.1392 90.00 90.00 132.16
Positions (direct):
Cs (0.0000, 0.5000, 0.2338)
Cs (0.5000, 0.0000, 0.7662)
Li (0.0000, 0.0000, 0.0000)
Li (0.5000, 0.5000, 0.5000)
Zr (0.0000, 0.0000, 0.5000)
S (0.1370, 0.3266, 0.7316)
S (0.3266, 0.1370, 0.2684)
S (0.6734, 0.8630, 0.2684)
S (0.8630, 0.6734, 0.7316)

Structure and simulated PXRD pattern of CsLiTcSe3 (a crystal structure in OQMD, relaxed with PBE; Cu Ka).
Peak positions follow from Bragg's law for the DFT cell and can differ from measured ones.

Most intense lines, 2θ from 5° to 70°, in order of falling intensity:
- 3.017 Å, 2θ 29.6, rel. 100
- 8.682 Å, 2θ 10.2, rel. 43
- 1.779 Å, 2θ 51.4, rel. 39
- 4.341 Å, 2θ 20.5, rel. 39
- 2.703 Å, 2θ 33.1, rel. 38
- 3.165 Å, 2θ 28.2, rel. 33
- 2.902 Å, 2θ 30.8, rel. 32
- 2.546 Å, 2θ 35.2, rel. 31

Lattice parameters (Å, degrees): 16.0805 3.9032 10.3139 90.00 90.00 90.00
Positions (direct):
Cs (0.2336, 0.2500, 0.0469)
Cs (0.2664, 0.7500, 0.5469)
Cs (0.7336, 0.2500, 0.4531)
Cs (0.7664, 0.7500, 0.9531)
Li (0.0140, 0.7500, 0.0962)
Li (0.4860, 0.2500, 0.5962)
Li (0.5140, 0.7500, 0.4038)
Li (0.9860, 0.2500, 0.9038)
Tc (0.0133, 0.2500, 0.3386)
Tc (0.4867, 0.7500, 0.8386)
Tc (0.5133, 0.2500, 0.1614)
Tc (0.9867, 0.7500, 0.6614)
Se (0.0765, 0.2500, 0.5694)
Se (0.0786, 0.7500, 0.8619)
Se (0.1143, 0.7500, 0.2780)
Se (0.3857, 0.2500, 0.7780)
Se (0.4214, 0.2500, 0.3619)
Se (0.4235, 0.7500, 0.0694)
Se (0.5765, 0.2500, 0.9306)
Se (0.5786, 0.7500, 0.6381)
Se (0.6143, 0.7500, 0.2220)
Se (0.8857, 0.2500, 0.7220)
Se (0.9214, 0.2500, 0.1381)
Se (0.9235, 0.7500, 0.4306)

> Number 1 is which compound?

Cs2Li14Tb3O14